For NdTmTaN3, DFT lattice parameters and positions (GGA-PBE) gives the calculated XRD peak list in this record (Cu Kα X-rays).

Structure:
Unit cell a=7.300 b=3.426 c=8.019 alpha=90.00 beta=92.84 gamma=90.00
Fractional coordinates of all 12 atoms:
Nd (0.155, 0.250, 0.167)
Nd (0.845, 0.750, 0.833)
Tm (0.386, 0.750, 0.855)
Tm (0.614, 0.250, 0.145)
Ta (0.127, 0.250, 0.580)
Ta (0.873, 0.750, 0.420)
N (0.142, 0.250, 0.832)
N (0.173, 0.750, 0.451)
N (0.394, 0.750, 0.126)
N (0.606, 0.250, 0.874)
N (0.827, 0.250, 0.549)
N (0.858, 0.750, 0.168)

The 10 most intense peaks (2θ from 15° to 90°), by intensity:
d_spacing	I/Imax	hkl
2.497	1000	2 1 0
2.603	814	0 1 2
5.530	597	1 0 -1
2.765	457	2 0 -2
2.632	346	2 0 2
2.670	286	0 0 3
2.872	240	1 1 1
2.002	185	0 0 4
1.516	183	4 1 -2
1.713	182	0 2 0